Diffraction record for Tb7Y12In. The powder diffraction line list is calculated, not measured: it uses the GGA-PBE geometry in Alexandria and Cu Kα (λ = 1.5418 Å).
Intensities are scaled so that the largest is 100.

Largest 12 diffraction maxima, in order of rising 2θ, 2θ = 10–80°:
d_spacing, I (rel.)
3.105, 21
2.985, 40
2.847, 52
2.815, 100
2.619, 23
2.594, 11
2.226, 11
1.817, 20
1.669, 16
1.619, 19
1.596, 17
1.436, 13

Crystal structure
Unit cell a=8.742 b=8.742 c=8.742 alpha=99.61 beta=99.61 gamma=99.61
Fractional positions:
Tb (0.000, 0.000, 0.000)
Tb (0.086, 0.356, 0.356)
Tb (0.356, 0.086, 0.356)
Tb (0.356, 0.356, 0.086)
Tb (0.644, 0.644, 0.914)
Tb (0.644, 0.914, 0.644)
Tb (0.914, 0.644, 0.644)
Y (0.099, 0.099, 0.666)
Y (0.099, 0.666, 0.099)
Y (0.245, 0.500, 0.755)
Y (0.245, 0.755, 0.500)
Y (0.334, 0.901, 0.901)
Y (0.500, 0.245, 0.755)
Y (0.500, 0.755, 0.245)
Y (0.666, 0.099, 0.099)
Y (0.755, 0.245, 0.500)
Y (0.755, 0.500, 0.245)
Y (0.901, 0.334, 0.901)
Y (0.901, 0.901, 0.334)
In (0.500, 0.500, 0.500)



Diffraction record for Ac2Sn8Pd. The powder diffraction line list is calculated, not measured: it uses the GGA-PBE geometry in Alexandria and Cu Kα (λ = 1.5418 Å).
Intensities are scaled so that the largest is 100.

Largest 12 diffraction maxima, in order of rising 2θ, 2θ = 10–80°:
d_spacing, I (rel.)
4.918, 13
3.220, 9
3.054, 41
2.694, 100
2.555, 20
2.459, 57
1.772, 27
1.739, 20
1.511, 11
1.461, 32
1.451, 16
1.438, 14

Crystal structure
Unit cell a=4.918 b=4.918 c=12.777 alpha=90.00 beta=90.00 gamma=90.00
Fractional positions:
Ac (0.000, 0.000, 0.190)
Ac (0.000, 0.000, 0.810)
Sn (0.000, 0.500, 0.000)
Sn (0.000, 0.500, 0.381)
Sn (0.000, 0.500, 0.619)
Sn (0.500, 0.000, 0.000)
Sn (0.500, 0.000, 0.381)
Sn (0.500, 0.000, 0.619)
Sn (0.500, 0.500, 0.197)
Sn (0.500, 0.500, 0.803)
Pd (0.000, 0.000, 0.500)



Diffraction record for NaAcAuO4. The powder diffraction line list is calculated, not measured: it uses the GGA-PBE geometry in Alexandria and Cu Kα (λ = 1.5418 Å).
Intensities are scaled so that the largest is 100.

Largest 12 diffraction maxima, in order of rising 2θ, 2θ = 10–80°:
d_spacing, I (rel.)
5.501, 16
4.447, 25
4.355, 45
3.142, 70
3.114, 25
3.082, 100
3.046, 38
2.223, 22
2.177, 30
1.796, 30
1.765, 19
1.619, 23

Crystal structure
Unit cell a=6.288 b=6.288 c=7.554 alpha=90.00 beta=90.00 gamma=122.05
Fractional positions:
Na (0.167, 0.833, 0.750)
Na (0.833, 0.167, 0.250)
Ac (0.500, 0.500, 0.000)
Ac (0.500, 0.500, 0.500)
Au (0.154, 0.846, 0.250)
Au (0.846, 0.154, 0.750)
O (0.217, 0.241, 0.750)
O (0.241, 0.217, 0.250)
O (0.285, 0.715, 0.067)
O (0.285, 0.715, 0.433)
O (0.715, 0.285, 0.567)
O (0.715, 0.285, 0.933)
O (0.759, 0.783, 0.750)
O (0.783, 0.759, 0.250)